Theoretical powder diffraction line list of Rb2TiZnO4 for Cu Kα, 1.54184 Å, from the GGA-PBE geometry in Alexandria.

The 6 most intense peaks (10 to 80 degrees two-theta), by intensity:
2θ 29.5, I 1000; 2θ 30.7, I 459; 2θ 28.9, I 435; 2θ 38.1, I 431; 2θ 22.8, I 390; 2θ 44.0, I 366

Structure:
```
16
Lattice="0.000 6.170 10.416 2.556 0.000 10.416 2.556 6.170 0.000" Properties=species:S:1:pos:R:3 pbc="T T T"
Rb 1.917 4.627 1.008
Rb 3.195 7.712 6.216
Rb 1.917 4.627 14.615
Rb 3.195 7.712 19.823
Ti 1.917 4.627 7.812
Ti 3.195 7.712 13.019
Zn 0.639 1.542 2.604
Zn 4.473 10.797 18.227
O 3.088 3.577 6.838
O 3.088 5.678 8.786
O 4.365 6.662 13.993
O 4.365 8.763 12.046
O 0.746 3.577 8.786
O 0.746 5.678 6.838
O 2.024 6.662 12.046
O 2.024 8.763 13.993
```